Record 1
Diffraction record for ZrNi. The X-ray powder pattern is simulated, not measured: it uses a DFT-relaxed cell (GGA-PBE, the Materials Project) and Cu Ka.

Main lines, in order of rising 2θ (10° ≤ 2θ ≤ 80°):
d/Å  two_theta  intensity
2.489  36.08  1000
2.344  38.41  195
2.128  42.49  176
2.043  44.34  240
2.033  44.57  464
1.653  55.60  119
1.580  58.41  116
1.540  60.10  151
1.308  72.24  93
1.285  73.74  98

Crystal structure
a b c (Å): 5.2511 5.2511 4.0856
angles (deg): 90.00 90.00 143.31
Atoms (fractional coordinates):
Zr 0.1394 0.8606 0.7500
Zr 0.8606 0.1394 0.2500
Ni 0.4173 0.5827 0.7500
Ni 0.5827 0.4173 0.2500

---

Record 2
Diffraction record for Ta2NiS5. The X-ray powder pattern is simulated, not measured: it uses a DFT-relaxed cell (GGA-PBE, the Materials Project) and Cu Ka.

Main lines, in order of rising 2θ (10° ≤ 2θ ≤ 80°):
d/Å  two_theta  intensity
6.600  13.42  1000
6.055  14.63  138
3.803  23.39  119
3.297  27.05  130
3.243  27.50  89
2.777  32.23  220
2.663  33.65  127
2.387  37.69  226
1.833  49.74  135
1.817  50.20  135

Crystal structure
a b c (Å): 6.8190 6.8190 15.2120
angles (deg): 90.00 90.00 150.87
Atoms (fractional coordinates):
Ta 0.2224 0.7776 0.6087
Ta 0.2224 0.7776 0.8913
Ta 0.7776 0.2224 0.1087
Ta 0.7776 0.2224 0.3913
Ni 0.2998 0.7002 0.2500
Ni 0.7002 0.2998 0.7500
S 0.1567 0.8433 0.0502
S 0.1567 0.8433 0.4498
S 0.3119 0.6881 0.7500
S 0.4052 0.5948 0.1355
S 0.4052 0.5948 0.3645
S 0.5948 0.4052 0.6355
S 0.5948 0.4052 0.8645
S 0.6881 0.3119 0.2500
S 0.8433 0.1567 0.5502
S 0.8433 0.1567 0.9498

---

Record 3
Diffraction record for K2Cu5Te5. The X-ray powder pattern is simulated, not measured: it uses a DFT-relaxed cell (GGA-PBE, the Materials Project) and Cu Ka.

Main lines, in order of rising 2θ (10° ≤ 2θ ≤ 80°):
d/Å  two_theta  intensity
8.037  11.01  1000
4.004  22.20  262
3.412  26.12  417
3.273  27.25  431
3.225  27.66  277
3.055  29.24  435
2.266  39.78  379
2.234  40.37  437
2.067  43.80  328
1.964  46.22  461

Crystal structure
a b c (Å): 8.2988 8.2988 18.8419
angles (deg): 90.00 90.00 151.15
Atoms (fractional coordinates):
K 0.0173 0.9827 0.6180
K 0.0173 0.9827 0.8820
K 0.9827 0.0173 0.1180
K 0.9827 0.0173 0.3820
Cu 0.1739 0.8261 0.2500
Cu 0.2238 0.7762 0.0429
Cu 0.2238 0.7762 0.4571
Cu 0.3005 0.6995 0.6471
Cu 0.3005 0.6995 0.8529
Cu 0.6995 0.3005 0.1471
Cu 0.6995 0.3005 0.3529
Cu 0.7762 0.2238 0.5429
Cu 0.7762 0.2238 0.9571
Cu 0.8261 0.1739 0.7500
Te 0.3031 0.6969 0.1667
Te 0.3031 0.6969 0.3333
Te 0.3717 0.6283 0.5203
Te 0.3717 0.6283 0.9797
Te 0.4208 0.5792 0.7500
Te 0.5792 0.4208 0.2500
Te 0.6283 0.3717 0.0203
Te 0.6283 0.3717 0.4797
Te 0.6969 0.3031 0.6667
Te 0.6969 0.3031 0.8333

---

Record 4
Diffraction record for Bi3Rh. The X-ray powder pattern is simulated, not measured: it uses a DFT-relaxed cell (GGA-PBE, the Materials Project) and Cu Ka.

Main lines, in order of rising 2θ (10° ≤ 2θ ≤ 80°):
d/Å  two_theta  intensity
3.231  27.61  494
3.115  28.66  1000
2.919  30.63  453
2.876  31.10  991
2.739  32.69  702
2.654  33.78  844
2.166  41.71  569
2.117  42.72  598
1.678  54.71  441
1.592  57.92  471

Crystal structure
a b c (Å): 8.9646 4.3312 11.5404
angles (deg): 90.00 90.00 90.00
Atoms (fractional coordinates):
Bi 0.0970 0.2500 0.1771
Bi 0.1004 0.2500 0.5895
Bi 0.1971 0.2500 0.8866
Bi 0.3029 0.7500 0.3866
Bi 0.3996 0.7500 0.0895
Bi 0.4030 0.7500 0.6771
Bi 0.5970 0.2500 0.3229
Bi 0.6004 0.2500 0.9105
Bi 0.6971 0.2500 0.6134
Bi 0.8029 0.7500 0.1134
Bi 0.8996 0.7500 0.4105
Bi 0.9030 0.7500 0.8229
Rh 0.1020 0.7500 0.0196
Rh 0.3980 0.2500 0.5196
Rh 0.6020 0.7500 0.4804
Rh 0.8980 0.2500 0.9804

---

Record 5
Diffraction record for MgCd. The X-ray powder pattern is simulated, not measured: it uses a DFT-relaxed cell (GGA-PBE, the Materials Project) and Cu Ka.

Main lines, in order of rising 2θ (10° ≤ 2θ ≤ 80°):
d/Å  two_theta  intensity
4.760  18.64  494
3.462  25.74  321
3.439  25.91  180
2.771  32.30  320
2.487  36.11  372
2.421  37.14  1000
2.398  37.51  551
1.851  49.23  189
1.423  65.61  175
1.338  70.39  192

Crystal structure
a b c (Å): 4.9743 5.5431 5.5431
angles (deg): 120.83 90.00 90.00
Atoms (fractional coordinates):
Mg 0.0000 0.0000 0.0000
Mg 0.5000 0.6488 0.9874
Mg 0.5000 0.9874 0.6488
Cd 0.0000 0.3283 0.6626
Cd 0.0000 0.6626 0.3283
Cd 0.5000 0.3158 0.3158

---

Record 6
Diffraction record for Zr6CoBi2. The X-ray powder pattern is simulated, not measured: it uses a DFT-relaxed cell (GGA-PBE, the Materials Project) and Cu Ka.

Main lines, in order of rising 2θ (10° ≤ 2θ ≤ 80°):
d/Å  two_theta  intensity
3.982  22.32  326
2.699  33.20  1000
2.607  34.40  502
2.513  35.73  649
2.299  39.18  511
2.125  42.54  470
1.835  49.69  187
1.453  64.08  256
1.434  65.03  230
1.393  67.22  273

Crystal structure
a b c (Å): 7.9650 7.9650 3.6695
angles (deg): 90.00 90.00 120.00
Atoms (fractional coordinates):
Zr 0.0000 0.2357 0.0000
Zr 0.0000 0.6087 0.5000
Zr 0.2357 0.0000 0.0000
Zr 0.3913 0.3913 0.5000
Zr 0.6087 0.0000 0.5000
Zr 0.7643 0.7643 0.0000
Co 0.0000 0.0000 0.5000
Bi 0.3333 0.6667 0.0000
Bi 0.6667 0.3333 0.0000

---

Record 7
Diffraction record for Cs3Ti2Cl9. The X-ray powder pattern is simulated, not measured: it uses a DFT-relaxed cell (GGA-PBE, the Materials Project) and Cu Ka.

Main lines, in order of rising 2θ (10° ≤ 2θ ≤ 80°):
d/Å  two_theta  intensity
5.291  16.76  525
4.430  20.04  451
3.763  23.65  923
3.167  28.17  339
3.066  29.12  810
3.020  29.58  422
2.868  31.19  1000
2.645  33.89  715
1.881  48.38  514
1.597  57.73  327

Crystal structure
a b c (Å): 7.5251 7.5251 18.1219
angles (deg): 90.00 90.00 120.00
Atoms (fractional coordinates):
Cs 0.0000 0.0000 0.2500
Cs 0.0000 0.0000 0.7500
Cs 0.3333 0.6667 0.0759
Cs 0.3333 0.6667 0.4241
Cs 0.6667 0.3333 0.5759
Cs 0.6667 0.3333 0.9241
Ti 0.3333 0.6667 0.6657
Ti 0.3333 0.6667 0.8343
Ti 0.6667 0.3333 0.1657
Ti 0.6667 0.3333 0.3343
Cl 0.0260 0.5130 0.7500
Cl 0.1809 0.3618 0.5949
Cl 0.1809 0.3618 0.9051
Cl 0.1809 0.8191 0.5949
Cl 0.1809 0.8191 0.9051
Cl 0.3618 0.1809 0.0949
Cl 0.3618 0.1809 0.4051
Cl 0.4870 0.5130 0.7500
Cl 0.4870 0.9740 0.7500
Cl 0.5130 0.0260 0.2500
Cl 0.5130 0.4870 0.2500
Cl 0.6382 0.8191 0.5949
Cl 0.6382 0.8191 0.9051
Cl 0.8191 0.1809 0.0949
Cl 0.8191 0.1809 0.4051
Cl 0.8191 0.6382 0.0949
Cl 0.8191 0.6382 0.4051
Cl 0.9740 0.4870 0.2500

---

Record 8
Diffraction record for Ca2GeS4. The X-ray powder pattern is simulated, not measured: it uses a DFT-relaxed cell (GGA-PBE, the Materials Project) and Cu Ka.

Main lines, in order of rising 2θ (10° ≤ 2θ ≤ 80°):
d/Å  two_theta  intensity
5.297  16.74  933
5.039  17.60  368
3.732  23.84  354
3.400  26.21  872
3.357  26.55  1000
3.096  28.84  417
2.367  38.01  773
2.062  43.91  398
2.011  45.07  614
1.820  50.12  443

Crystal structure
a b c (Å): 13.8241 8.2470 6.3645
angles (deg): 90.00 90.00 90.00
Atoms (fractional coordinates):
Ca 0.0000 0.0000 0.0000
Ca 0.0000 0.5000 0.0000
Ca 0.2259 0.2500 0.4847
Ca 0.2741 0.7500 0.9847
Ca 0.5000 0.0000 0.5000
Ca 0.5000 0.5000 0.5000
Ca 0.7259 0.2500 0.0153
Ca 0.7741 0.7500 0.5153
Ge 0.0945 0.7500 0.4064
Ge 0.4055 0.2500 0.9064
Ge 0.5945 0.7500 0.0936
Ge 0.9055 0.2500 0.5936
S 0.0561 0.2500 0.7298
S 0.0944 0.7500 0.7552
S 0.1690 0.5369 0.2568
S 0.1690 0.9631 0.2568
S 0.3310 0.0369 0.7568
S 0.3310 0.4631 0.7568
S 0.4056 0.2500 0.2552
S 0.4439 0.7500 0.2298
S 0.5561 0.2500 0.7702
S 0.5944 0.7500 0.7448
S 0.6690 0.5369 0.2432
S 0.6690 0.9631 0.2432
S 0.8310 0.0369 0.7432
S 0.8310 0.4631 0.7432
S 0.9056 0.2500 0.2448
S 0.9439 0.7500 0.2702